The following is a computed powder X-ray diffraction pattern of Li2Ni3SbO8. It was derived from a cell relaxed with PBE+U, using Cu Kα (weighted mean of Kα1 and Kα2).
Intensities are scaled so that the largest is 100.

Structural model:
```
data_Li2Ni3SbO8
_chemical_formula_sum 'Li8 Ni12 Sb4 O32'
_space_group_name_H-M_alt 'P 43 3 2'
_space_group_IT_number 212
_space_group_name_Hall 'P 4acd 2ab 3'
_cell_length_a 8.3767
_cell_length_b 8.3767
_cell_length_c 8.3767
_cell_angle_alpha 90.00
_cell_angle_beta 90.00
_cell_angle_gamma 90.00
loop_
_atom_site_label
_atom_site_fract_x
_atom_site_fract_y
_atom_site_fract_z
Li1 0.0001 0.0001 0.0001
Ni1 0.1224 0.1276 0.6250
Sb1 0.1250 0.8750 0.3750
O1 0.1051 0.1152 0.3795
O2 0.1097 0.6097 0.8903
```

The 10 most intense peaks (2θ = 10–90°), in order of falling intensity:
18.34°, intensity 100.0; 35.54°, intensity 51.3; 43.20°, intensity 51.2; 62.75°, intensity 31.5; 37.18°, intensity 21.4; 57.14°, intensity 20.6; 65.98°, intensity 15.8; 47.30°, intensity 14.3; 75.25°, intensity 10.9; 89.97°, intensity 9.3